1.
Li3MnVP3O12: calculated powder X-ray diffraction pattern (Cu Ka), based on a crystal structure in the Materials Project, relaxed with PBE+U.

Top 12 peaks for 5° ≤ 2θ ≤ 70°, most intense first:
2θ/deg	I (rel.)
24.05	100
31.68	71
14.36	68
19.76	65
28.95	46
52.01	20
36.70	19
32.48	17
49.24	17
38.64	17
61.09	15
56.99	13

```
data_Li3MnVP3O12
_space_group_name_H-M_alt 'R 3'
_space_group_IT_number 146
_space_group_name_Hall 'R 3'
_cell_length_a 8.4838
_cell_length_b 8.4838
_cell_length_c 22.7174
_cell_angle_alpha 90.00
_cell_angle_beta 90.00
_cell_angle_gamma 120.00
loop_
_atom_site_label
_atom_site_fract_x
_atom_site_fract_y
_atom_site_fract_z
_atom_site_occupancy
Li1 0.0175 0.6374 0.0000 1
Li2 0.0478 0.3536 0.9003 1
Mn1 0.0000 0.0000 0.1377 1
Mn2 0.0000 0.0000 0.6312 1
V1 0.0000 0.0000 0.4301 1
V2 0.0000 0.0000 0.9347 1
P1 0.0008 0.7092 0.5336 1
P2 0.0432 0.3759 0.7004 1
O1 0.0047 0.8089 0.4767 1
O2 0.0435 0.2086 0.3729 1
O3 0.0921 0.2366 0.9827 1
O4 0.0939 0.2325 0.6818 1
O5 0.1366 0.4646 0.7575 1
O6 0.1661 0.7178 0.8613 1
O7 0.1846 0.7601 0.2509 1
O8 0.1982 0.7638 0.5518 1
```

***

2.
Li3MnVP3O12: calculated powder X-ray diffraction pattern (Cu Ka), based on a crystal structure in the Materials Project, relaxed with PBE+U.

Top 12 peaks for 5° ≤ 2θ ≤ 70°, most intense first:
2θ/deg	I (rel.)
23.92	100
31.57	76
14.29	71
19.70	64
28.80	46
51.85	23
36.43	19
38.39	19
62.52	18
48.96	17
32.25	16
60.82	13

```
data_Li3MnVP3O12
_space_group_name_H-M_alt 'R -3'
_space_group_IT_number 148
_space_group_name_Hall '-R 3'
_cell_length_a 8.5432
_cell_length_b 8.5432
_cell_length_c 22.7219
_cell_angle_alpha 90.00
_cell_angle_beta 90.00
_cell_angle_gamma 120.00
loop_
_atom_site_label
_atom_site_fract_x
_atom_site_fract_y
_atom_site_fract_z
_atom_site_occupancy
Li1 0.0128 0.6317 0.2158 1
Mn1 0.0000 0.0000 0.1502 1
V1 0.0000 0.0000 0.3510 1
P1 0.0078 0.2938 0.2505 1
O1 0.0145 0.1951 0.3070 1
O2 0.0469 0.2109 0.5943 1
O3 0.0785 0.5145 0.8653 1
O4 0.0910 0.5221 0.5692 1
```